No. 1
The following is a theoretical powder XRD pattern of Li3Fe4B4O12. It was derived from DFT lattice parameters and positions (PBE+U), using Cu Ka.
Lines closer than 0.1° are merged.

Top 10 peaks for 15 to 90 degrees two-theta, by angle:
h k l	Position (°2θ)	I_rel
1 -1 0	19.57	89
0 2 -2	21.53	69
1 1 -2	21.65	40
1 1 1	25.95	29
0 2 1	26.05	28
1 -3 1	34.24	95
0 0 4	35.13	100
2 2 -1	40.57	44
2 4 -2	54.05	26
3 -3 0	61.32	41

Cell and atoms:
```
data_Li3Fe4B4O12
_chemical_formula_sum 'Li6 Fe8 B8 O24'
_space_group_name_H-M_alt 'P 1'
_space_group_IT_number 1
_space_group_name_Hall 'P 1'
_cell_length_a 5.2350
_cell_length_b 9.0774
_cell_length_c 11.3727
_cell_angle_alpha 112.61
_cell_angle_beta 102.24
_cell_angle_gamma 90.03
loop_
_atom_site_label
_atom_site_fract_x
_atom_site_fract_y
_atom_site_fract_z
Li1 0.0000 0.0000 0.0000
Li2 0.0365 0.0336 0.7449
Li3 0.2297 0.2633 0.5028
Li4 0.2712 0.2924 0.2473
Li5 0.7219 0.7542 0.4939
Li6 0.7684 0.7821 0.2298
Fe1 0.0032 0.6764 0.7127
Fe2 0.2191 0.9129 0.4671
Fe3 0.2771 0.6074 0.2166
Fe4 0.4693 0.8107 0.9589
Fe5 0.5152 0.2062 0.7225
Fe6 0.7090 0.4068 0.4707
Fe7 0.7696 0.1060 0.2220
Fe8 0.9791 0.3301 0.9702
B1 0.0090 0.3546 0.7133
B2 0.2122 0.5676 0.4598
B3 0.2602 0.9372 0.2084
B4 0.4778 0.1459 0.9653
B5 0.5091 0.8676 0.7172
B6 0.7196 0.0679 0.4602
B7 0.7618 0.4402 0.2128
B8 0.9714 0.6591 0.9729
O1 0.0019 0.4084 0.1699
O2 0.0921 0.7673 0.9356
O3 0.1119 0.5432 0.0018
O4 0.1352 0.0674 0.1966
O5 0.1480 0.8337 0.2496
O6 0.2085 0.1498 0.9578
O7 0.2514 0.3418 0.6888
O8 0.3213 0.4233 0.4426
O9 0.3321 0.6807 0.4290
O10 0.3544 0.9748 0.6806
O11 0.3939 0.7737 0.7690
O12 0.4844 0.0992 0.4986
O13 0.5012 0.9091 0.1724
O14 0.6120 0.2492 0.9320
O15 0.6173 0.0323 0.0013
O16 0.6476 0.3290 0.2470
O17 0.6537 0.5792 0.2215
O18 0.7183 0.6729 0.9839
O19 0.7644 0.8565 0.7028
O20 0.8301 0.9266 0.4507
O21 0.8450 0.1800 0.4291
O22 0.8451 0.4593 0.6807
O23 0.9169 0.2548 0.7693
O24 0.9798 0.5957 0.5024
```

No. 2
The following is a theoretical powder XRD pattern of FePH6NO5. It was derived from DFT lattice parameters and positions (PBE+U), using Cu Ka.
Lines closer than 0.1° are merged.

Top 10 peaks for 15 to 90 degrees two-theta, by angle:
h k l	Position (°2θ)	I_rel
0 1 1	18.33	29
1 0 -1	20.93	41
1 1 -1	26.10	27
0 2 0	31.23	85
1 1 -2	31.36	100
2 0 0	37.39	13
1 1 3	38.63	23
2 0 3	48.46	14
0 0 5	50.63	12
0 4 0	65.04	11

Cell and atoms:
```
data_FePH6NO5
_chemical_formula_sum 'Fe2 P2 H12 N2 O10'
_space_group_name_H-M_alt 'P 1'
_space_group_IT_number 1
_space_group_name_Hall 'P 1'
_cell_length_a 4.8108
_cell_length_b 5.7345
_cell_length_c 9.0213
_cell_angle_alpha 89.89
_cell_angle_beta 89.98
_cell_angle_gamma 89.77
loop_
_atom_site_label
_atom_site_fract_x
_atom_site_fract_y
_atom_site_fract_z
Fe1 0.0000 0.0000 0.0000
Fe2 0.4997 0.5000 0.0456
P1 0.0701 0.5001 0.8269
P2 0.5698 0.9995 0.2189
H1 0.0605 0.6363 0.2126
H2 0.0631 0.3632 0.2131
H3 0.1150 0.1486 0.6104
H4 0.1156 0.8512 0.6106
H5 0.3021 0.9999 0.4805
H6 0.4412 0.5000 0.5691
H7 0.5611 0.1367 0.8335
H8 0.5620 0.8636 0.8330
H9 0.6154 0.3511 0.4357
H10 0.6149 0.6486 0.4354
H11 0.8021 0.4996 0.5655
H12 0.9412 0.0002 0.4770
N1 0.1187 0.0000 0.5455
N2 0.6187 0.4998 0.5006
O1 0.1143 0.4994 0.6557
O2 0.1860 0.5002 0.2240
O3 0.2175 0.7190 0.8962
O4 0.2199 0.2821 0.8975
O5 0.2575 0.0006 0.1849
O6 0.6139 0.0003 0.3901
O7 0.6857 0.0001 0.8222
O8 0.7179 0.7801 0.1496
O9 0.7186 0.2170 0.1481
O10 0.7578 0.5003 0.8609
```

No. 3
The following is a theoretical powder XRD pattern of MgCrCo3O8. It was derived from DFT lattice parameters and positions (PBE+U), using Cu Ka.
Lines closer than 0.1° are merged.

Top 10 peaks for 15 to 90 degrees two-theta, by angle:
h k l	Position (°2θ)	I_rel
0 1 0	18.33	100
1 0 -1	18.54	72
0 1 -2	35.21	21
2 -1 0	35.98	39
2 1 -2	36.37	18
0 2 -2	37.58	12
0 0 2	42.26	34
2 -2 0	43.77	31
2 2 -2	44.24	30
-2 2 2	62.29	23

Cell and atoms:
```
data_MgCrCo3O8
_chemical_formula_sum 'Mg1 Cr1 Co3 O8'
_space_group_name_H-M_alt 'P 1'
_space_group_IT_number 1
_space_group_name_Hall 'P 1'
_cell_length_a 5.8143
_cell_length_b 5.8271
_cell_length_c 5.8740
_cell_angle_alpha 118.72
_cell_angle_beta 118.94
_cell_angle_gamma 90.57
loop_
_atom_site_label
_atom_site_fract_x
_atom_site_fract_y
_atom_site_fract_z
Mg1 0.0000 0.0000 0.0000
Cr1 0.3672 0.1303 0.7423
Co1 0.3693 0.6241 0.7468
Co2 0.3728 0.6195 0.2391
Co3 0.8636 0.6247 0.2425
O1 0.1301 0.8530 0.7169
O2 0.1363 0.8642 0.2744
O3 0.1498 0.4163 0.2854
O4 0.1594 0.4009 0.7645
O5 0.5733 0.8241 0.1883
O6 0.5839 0.8626 0.7268
O7 0.5922 0.3860 0.2065
O8 0.6007 0.4117 0.7740
```

No. 4
The following is a theoretical powder XRD pattern of CrAg3F6. It was derived from DFT lattice parameters and positions (PBE+U), using Cu Ka.
Lines closer than 0.1° are merged.

Top 10 peaks for 15 to 90 degrees two-theta, by angle:
h k l	Position (°2θ)	I_rel
2 2 0	29.45	100
3 1 1	34.68	4
2 2 2	36.28	9
4 0 0	42.13	36
3 3 1	46.12	3
4 2 2	52.24	37
4 4 0	61.11	21
6 2 0	69.27	17
4 4 4	77.01	7
6 4 2	84.52	19

Cell and atoms:
```
data_CrAg3F6
_chemical_formula_sum 'Cr4 Ag12 F24'
_space_group_name_H-M_alt 'F m -3 m'
_space_group_IT_number 225
_space_group_name_Hall '-F 4 2 3'
_cell_length_a 8.5787
_cell_length_b 8.5787
_cell_length_c 8.5787
_cell_angle_alpha 90.00
_cell_angle_beta 90.00
_cell_angle_gamma 90.00
loop_
_atom_site_label
_atom_site_fract_x
_atom_site_fract_y
_atom_site_fract_z
Cr1 0.0000 0.0000 0.0000
Ag1 0.0000 0.0000 0.5000
Ag2 0.2500 0.2500 0.2500
F1 0.0000 0.0000 0.2257
```

No. 5
The following is a theoretical powder XRD pattern of CoAgO3. It was derived from DFT lattice parameters and positions (PBE+U), using Cu Ka.
Lines closer than 0.1° are merged.

Top 10 peaks for 15 to 90 degrees two-theta, by angle:
h k l	Position (°2θ)	I_rel
0 1 0	21.74	37
1 1 1	24.25	62
1 0 1	29.63	100
1 1 -1	30.62	99
0 1 2	33.12	69
-1 1 1	35.35	93
1 2 1	35.71	67
2 1 0	36.44	68
0 2 0	44.33	48
2 1 2	50.72	45

Cell and atoms:
```
data_CoAgO3
_chemical_formula_sum 'Co2 Ag2 O6'
_space_group_name_H-M_alt 'P -1'
_space_group_IT_number 2
_space_group_name_Hall '-P 1'
_cell_length_a 4.9337
_cell_length_b 5.0634
_cell_length_c 5.5698
_cell_angle_alpha 68.77
_cell_angle_beta 88.80
_cell_angle_gamma 61.74
loop_
_atom_site_label
_atom_site_fract_x
_atom_site_fract_y
_atom_site_fract_z
Co1 0.1613 0.1836 0.4839
Ag1 0.3461 0.7756 0.0619
O1 0.0738 0.6087 0.3021
O2 0.1752 0.7809 0.6965
O3 0.4593 0.9983 0.2821
```

No. 6
The following is a theoretical powder XRD pattern of Ba10Zn4CuW5O30. It was derived from DFT lattice parameters and positions (PBE+U), using Cu Ka.
Lines closer than 0.1° are merged.

Top 10 peaks for 15 to 90 degrees two-theta, by angle:
h k l	Position (°2θ)	I_rel
1 1 1	18.63	13
5 1 0	30.65	100
6 0 1	36.11	6
4 0 4	43.90	29
10 0 0	54.49	40
8 0 3	58.10	3
10 2 0	63.82	18
9 1 4	72.46	18
4 4 4	80.69	6
15 1 0	88.74	22

Cell and atoms:
```
data_Ba10Zn4CuW5O30
_chemical_formula_sum 'Ba20 Zn8 Cu2 W10 O60'
_space_group_name_H-M_alt 'C 1 2/m 1'
_space_group_IT_number 12
_space_group_name_Hall '-C 2y'
_cell_length_a 19.3474
_cell_length_b 5.8328
_cell_length_c 14.2897
_cell_angle_alpha 90.00
_cell_angle_beta 119.48
_cell_angle_gamma 90.00
loop_
_atom_site_label
_atom_site_fract_x
_atom_site_fract_y
_atom_site_fract_z
Ba1 0.0000 0.0000 0.2496
Ba2 0.0997 0.5000 0.1495
Ba3 0.1000 0.5000 0.6500
Ba4 0.1997 0.0000 0.0499
Ba5 0.2000 0.0000 0.5500
Zn1 0.1000 0.5000 0.4000
Zn2 0.2000 0.0000 0.8000
Cu1 0.0000 0.0000 0.0000
W1 0.0000 0.0000 0.5000
W2 0.0999 0.5000 0.9002
W3 0.1998 0.0000 0.2997
O1 0.0048 0.5000 0.7572
O2 0.0476 0.2380 0.4524
O3 0.0524 0.2620 0.9476
O4 0.0952 0.0000 0.6428
O5 0.1048 0.0000 0.1571
O6 0.1475 0.2620 0.8524
O7 0.1524 0.2380 0.3476
O8 0.1952 0.5000 0.0428
O9 0.2049 0.5000 0.5574
O10 0.2476 0.2380 0.2524
```

No. 7
The following is a theoretical powder XRD pattern of RbFeF4. It was derived from DFT lattice parameters and positions (PBE+U), using Cu Ka.
Lines closer than 0.1° are merged.

Top 10 peaks for 15 to 90 degrees two-theta, by angle:
h k l	Position (°2θ)	I_rel
1 0 2	26.79	100
2 0 0	28.11	22
1 2 1	29.20	9
0 2 2	32.41	24
2 2 1	38.33	9
2 2 2	43.43	12
0 0 4	46.39	12
3 0 2	48.95	27
1 4 1	50.37	11
1 2 4	54.41	12

Cell and atoms:
```
data_RbFeF4
_chemical_formula_sum 'Rb4 Fe4 F16'
_space_group_name_H-M_alt 'P b c m'
_space_group_IT_number 57
_space_group_name_Hall '-P 2c 2b'
_cell_length_a 6.3483
_cell_length_b 7.7959
_cell_length_c 7.8295
_cell_angle_alpha 90.00
_cell_angle_beta 90.00
_cell_angle_gamma 90.00
loop_
_atom_site_label
_atom_site_fract_x
_atom_site_fract_y
_atom_site_fract_z
Rb1 0.0055 0.2015 0.2500
Fe1 0.5000 0.0000 0.0000
F1 0.2159 0.5552 0.5475
F2 0.4137 0.2500 0.0000
F3 0.4284 0.5141 0.2500
```

Please write out number 2 again, unchanged.
The following is a theoretical powder XRD pattern of FePH6NO5. It was derived from DFT lattice parameters and positions (PBE+U), using Cu Ka.
Lines closer than 0.1° are merged.

Top 10 peaks for 15 to 90 degrees two-theta, by angle:
h k l	Position (°2θ)	I_rel
0 1 1	18.33	29
1 0 -1	20.93	41
1 1 -1	26.10	27
0 2 0	31.23	85
1 1 -2	31.36	100
2 0 0	37.39	13
1 1 3	38.63	23
2 0 3	48.46	14
0 0 5	50.63	12
0 4 0	65.04	11

Cell and atoms:
```
data_FePH6NO5
_chemical_formula_sum 'Fe2 P2 H12 N2 O10'
_space_group_name_H-M_alt 'P 1'
_space_group_IT_number 1
_space_group_name_Hall 'P 1'
_cell_length_a 4.8108
_cell_length_b 5.7345
_cell_length_c 9.0213
_cell_angle_alpha 89.89
_cell_angle_beta 89.98
_cell_angle_gamma 89.77
loop_
_atom_site_label
_atom_site_fract_x
_atom_site_fract_y
_atom_site_fract_z
Fe1 0.0000 0.0000 0.0000
Fe2 0.4997 0.5000 0.0456
P1 0.0701 0.5001 0.8269
P2 0.5698 0.9995 0.2189
H1 0.0605 0.6363 0.2126
H2 0.0631 0.3632 0.2131
H3 0.1150 0.1486 0.6104
H4 0.1156 0.8512 0.6106
H5 0.3021 0.9999 0.4805
H6 0.4412 0.5000 0.5691
H7 0.5611 0.1367 0.8335
H8 0.5620 0.8636 0.8330
H9 0.6154 0.3511 0.4357
H10 0.6149 0.6486 0.4354
H11 0.8021 0.4996 0.5655
H12 0.9412 0.0002 0.4770
N1 0.1187 0.0000 0.5455
N2 0.6187 0.4998 0.5006
O1 0.1143 0.4994 0.6557
O2 0.1860 0.5002 0.2240
O3 0.2175 0.7190 0.8962
O4 0.2199 0.2821 0.8975
O5 0.2575 0.0006 0.1849
O6 0.6139 0.0003 0.3901
O7 0.6857 0.0001 0.8222
O8 0.7179 0.7801 0.1496
O9 0.7186 0.2170 0.1481
O10 0.7578 0.5003 0.8609
```